Entry 1:
YMg: calculated powder X-ray diffraction pattern (a wavelength of 1.5418 Å), based on the PBE geometry in the Materials Project.

Largest 8 diffraction maxima, in order of rising 2θ, 2θ = 5–70°:
- d 5.214, I = 27
- d 3.768, I = 29
- d 3.707, I = 45
- d 2.948, I = 52
- d 2.726, I = 50
- d 2.657, I = 88
- d 2.593, I = 100
- d 2.001, I = 33

Structure:
```
data_YMg
_space_group_name_H-M_alt 'A m m 2'
_space_group_IT_number 38
_cell_length_a 5.452
_cell_length_b 10.109
_cell_length_c 6.086
_cell_angle_alpha 90.00
_cell_angle_beta 90.00
_cell_angle_gamma 90.00
loop_
_space_group_symop_operation_xyz
'x,y,z'
'-x,-y,z'
'-x,y,z'
'x,-y,z'
'x,y+1/2,z+1/2'
'-x,-y+1/2,z+1/2'
'-x,y+1/2,z+1/2'
'x,-y+1/2,z+1/2'
loop_
_atom_site_label
_atom_site_type_symbol
_atom_site_fract_x
_atom_site_fract_y
_atom_site_fract_z
Y1 Y 0.000 0.000 0.000
Y2 Y 0.500 0.179 0.237
Mg1 Mg 0.000 0.164 0.530
Mg2 Mg 0.500 0.000 0.709
```

---

Entry 2:
Tl2MoCl6: calculated powder X-ray diffraction pattern (a wavelength of 1.5418 Å), based on the PBE geometry in the Materials Project.

Largest 8 diffraction maxima, in order of rising 2θ, 2θ = 5–70°:
- d 5.031, I = 30
- d 3.558, I = 100
- d 2.905, I = 59
- d 2.516, I = 56
- d 2.054, I = 46
- d 1.779, I = 38
- d 1.517, I = 23
- d 1.345, I = 25

Structure:
```
data_Tl2MoCl6
_space_group_name_H-M_alt 'F m -3 m'
_space_group_IT_number 225
_space_group_name_Hall '-F 4 2 3'
_cell_length_a 10.063
_cell_length_b 10.063
_cell_length_c 10.063
_cell_angle_alpha 90.00
_cell_angle_beta 90.00
_cell_angle_gamma 90.00
loop_
_atom_site_label
_atom_site_type_symbol
_atom_site_fract_x
_atom_site_fract_y
_atom_site_fract_z
Tl1 Tl 0.250 0.250 0.250
Mo1 Mo 0.000 0.000 0.000
Cl1 Cl 0.000 0.000 0.238
```

---

Entry 3:
Na2Al2Si3H4O12: calculated powder X-ray diffraction pattern (a wavelength of 1.5418 Å), based on the PBE geometry in the Materials Project.

Largest 8 diffraction maxima, in order of rising 2θ, 2θ = 5–70°:
- d 6.600, I = 75
- d 5.923, I = 100
- d 4.410, I = 81
- d 4.174, I = 49
- d 3.209, I = 59
- d 2.962, I = 42
- d 2.885, I = 86
- d 2.879, I = 53

Structure:
```
data_Na2Al2Si3H4O12
_space_group_name_H-M_alt 'P 1'
_space_group_IT_number 1
_cell_length_a 6.628
_cell_length_b 9.878
_cell_length_c 9.916
_cell_angle_alpha 83.62
_cell_angle_beta 70.64
_cell_angle_gamma 70.52
loop_
_space_group_symop_operation_xyz
'x,y,z'
loop_
_atom_site_label
_atom_site_type_symbol
_atom_site_fract_x
_atom_site_fract_y
_atom_site_fract_z
Na1 Na 0.000 0.000 0.000
Na2 Na 0.192 0.617 0.500
Na3 Na 0.496 0.119 0.881
Na4 Na 0.806 0.497 0.382
Al1 Al 0.057 0.133 0.246
Al2 Al 0.380 0.484 0.746
Al3 Al 0.889 0.865 0.357
Al4 Al 0.946 0.752 0.857
Si1 Si 0.061 0.371 0.012
Si2 Si 0.113 0.634 0.127
Si3 Si 0.377 0.054 0.437
Si4 Si 0.622 0.562 0.939
Si5 Si 0.625 0.246 0.512
Si6 Si 0.938 0.983 0.627
H1 H 0.116 0.345 0.564
H2 H 0.346 0.935 0.726
H3 H 0.473 0.680 0.226
H4 H 0.486 0.844 0.827
H5 H 0.509 0.173 0.155
H6 H 0.520 0.772 0.328
H7 H 0.652 0.272 0.063
H8 H 0.875 0.443 0.656
O1 O 0.005 0.750 0.020
O2 O 0.008 0.683 0.295
O3 O 0.013 0.973 0.233
O4 O 0.066 0.479 0.127
O5 O 0.106 0.208 0.073
O6 O 0.178 0.645 0.732
O7 O 0.179 0.018 0.576
O8 O 0.256 0.363 0.860
O9 O 0.292 0.117 0.301
O10 O 0.374 0.937 0.817
O11 O 0.390 0.599 0.078
O12 O 0.431 0.185 0.496
O13 O 0.501 0.679 0.317
O14 O 0.504 0.409 0.573
O15 O 0.593 0.909 0.397
O16 O 0.596 0.501 0.803
O17 O 0.621 0.182 0.062
O18 O 0.696 0.706 0.898
O19 O 0.735 0.138 0.629
O20 O 0.805 0.430 0.998
O21 O 0.815 0.253 0.362
O22 O 0.884 0.933 0.795
O23 O 0.942 0.867 0.521
O24 O 0.995 0.435 0.562
```

---

Entry 4:
CsMg6AlO8: calculated powder X-ray diffraction pattern (a wavelength of 1.5418 Å), based on the PBE geometry in the Materials Project.

Largest 8 diffraction maxima, in order of rising 2θ, 2θ = 5–70°:
- d 8.567, I = 41
- d 4.753, I = 34
- d 4.156, I = 37
- d 2.644, I = 47
- d 2.376, I = 100
- d 2.142, I = 32
- d 1.680, I = 31
- d 1.591, I = 46

Structure:
```
data_CsMg6AlO8
_space_group_name_H-M_alt 'P 4/m m m'
_space_group_IT_number 123
_space_group_name_Hall '-P 4 2'
_cell_length_a 4.753
_cell_length_b 4.753
_cell_length_c 8.567
_cell_angle_alpha 90.00
_cell_angle_beta 90.00
_cell_angle_gamma 90.00
loop_
_atom_site_label
_atom_site_type_symbol
_atom_site_fract_x
_atom_site_fract_y
_atom_site_fract_z
Cs1 Cs 0.000 0.000 0.000
Mg1 Mg 0.000 0.500 0.254
Mg2 Mg 0.500 0.500 0.000
Mg3 Mg 0.500 0.500 0.500
Al1 Al 0.000 0.000 0.500
O1 O 0.000 0.000 0.300
O2 O 0.000 0.500 0.000
O3 O 0.000 0.500 0.500
O4 O 0.500 0.500 0.253
```

---

Entry 5:
MnGa2Tc: calculated powder X-ray diffraction pattern (a wavelength of 1.5418 Å), based on the PBE geometry in the Materials Project.

Largest 5 diffraction maxima, in order of rising 2θ, 2θ = 5–70°:
- d 3.470, I = 6
- d 2.125, I = 100
- d 1.812, I = 3
- d 1.503, I = 16
- d 1.379, I = 1

Structure:
```
data_MnGa2Tc
_space_group_name_H-M_alt 'F m -3 m'
_space_group_IT_number 225
_space_group_name_Hall '-F 4 2 3'
_cell_length_a 6.011
_cell_length_b 6.011
_cell_length_c 6.011
_cell_angle_alpha 90.00
_cell_angle_beta 90.00
_cell_angle_gamma 90.00
loop_
_atom_site_label
_atom_site_type_symbol
_atom_site_fract_x
_atom_site_fract_y
_atom_site_fract_z
Mn1 Mn 0.000 0.000 0.000
Ga1 Ga 0.250 0.250 0.250
Tc1 Tc 0.000 0.000 0.500
```